Structure and calculated PXRD pattern of Ti5Nb5Ge6 (a GGA-PBE-relaxed structure; Cu Kα (λ = 1.5418 Å)).

Principal peaks in the range 2θ = 10–90°, in order of falling intensity:
2.261 Å, I 100; 2.282 Å, I 70; 2.157 Å, I 62; 2.602 Å, I 57; 2.226 Å, I 54; 2.189 Å, I 32; 2.463 Å, I 30; 2.139 Å, I 27; 1.427 Å, I 26; 2.248 Å, I 21

Structural model:
Unit cell a=5.204 b=7.721 c=7.721 alpha=121.75 beta=90.00 gamma=90.00
Fractional positions:
Ti: 0.000 0.000 0.000
Ti: 0.248 0.113 0.445
Ti: 0.248 0.445 0.113
Ti: 0.752 0.113 0.445
Ti: 0.752 0.445 0.113
Nb: 0.000 0.519 0.773
Nb: 0.000 0.773 0.519
Nb: 0.500 0.023 0.778
Nb: 0.500 0.575 0.575
Nb: 0.500 0.778 0.023
Ge: 0.000 0.169 0.780
Ge: 0.000 0.374 0.374
Ge: 0.000 0.780 0.169
Ge: 0.500 0.180 0.180
Ge: 0.500 0.378 0.779
Ge: 0.500 0.779 0.378


Structure and calculated PXRD pattern of Ti4NbGe2 (a GGA-PBE-relaxed structure; Cu Kα (λ = 1.5418 Å)).

Principal peaks in the range 2θ = 10–90°, in order of falling intensity:
2.441 Å, I 100; 2.363 Å, I 89; 2.418 Å, I 64; 2.260 Å, I 56; 2.635 Å, I 55; 2.141 Å, I 54; 2.078 Å, I 52; 1.993 Å, I 34; 2.215 Å, I 30; 1.790 Å, I 29

Structural model:
Unit cell a=6.883 b=5.270 c=7.364 alpha=90.00 beta=117.70 gamma=90.00
Fractional positions:
Ti: 0.045 0.250 0.016
Ti: 0.092 0.750 0.408
Ti: 0.453 0.003 0.280
Ti: 0.453 0.497 0.280
Ti: 0.547 0.503 0.720
Ti: 0.547 0.997 0.720
Ti: 0.908 0.250 0.592
Ti: 0.955 0.750 0.984
Nb: 0.230 0.750 0.840
Nb: 0.770 0.250 0.160
Ge: 0.200 0.250 0.421
Ge: 0.333 0.250 0.897
Ge: 0.667 0.750 0.103
Ge: 0.800 0.750 0.579


Structure and calculated PXRD pattern of Ti12NbGe6 (a GGA-PBE-relaxed structure; Cu Kα (λ = 1.5418 Å)).

Principal peaks in the range 2θ = 10–90°, in order of falling intensity:
2.328 Å, I 100; 2.020 Å, I 64; 2.347 Å, I 42; 1.433 Å, I 19; 1.217 Å, I 17; 1.424 Å, I 15; 1.223 Å, I 11; 1.215 Å, I 7; 3.519 Å, I 7; 1.164 Å, I 6

Structural model:
Unit cell a=7.542 b=7.542 c=7.542 alpha=110.78 beta=110.78 gamma=110.78
Fractional positions:
Ti: 0.034 0.171 0.300
Ti: 0.171 0.300 0.034
Ti: 0.230 0.686 0.597
Ti: 0.300 0.034 0.171
Ti: 0.314 0.403 0.770
Ti: 0.403 0.770 0.314
Ti: 0.597 0.230 0.686
Ti: 0.686 0.597 0.230
Ti: 0.700 0.966 0.829
Ti: 0.770 0.314 0.403
Ti: 0.829 0.700 0.966
Ti: 0.966 0.829 0.700
Nb: 0.500 0.500 0.500
Ge: 0.085 0.579 0.862
Ge: 0.138 0.915 0.421
Ge: 0.421 0.138 0.915
Ge: 0.579 0.862 0.085
Ge: 0.862 0.085 0.579
Ge: 0.915 0.421 0.138


Structure and calculated PXRD pattern of Nb2V3Ge2 (a GGA-PBE-relaxed structure; Cu Kα (λ = 1.5418 Å)).

Principal peaks in the range 2θ = 10–90°, in order of falling intensity:
2.330 Å, I 100; 2.155 Å, I 34; 2.033 Å, I 24; 2.210 Å, I 20; 1.690 Å, I 20; 2.267 Å, I 19; 2.844 Å, I 16; 2.241 Å, I 16; 1.270 Å, I 13; 2.407 Å, I 13

Structural model:
Unit cell a=5.120 b=5.120 c=6.656 alpha=94.66 beta=94.66 gamma=38.55
Fractional positions:
Nb: 0.130 0.130 0.334
Nb: 0.870 0.870 0.666
V: 0.191 0.191 0.882
V: 0.500 0.500 0.000
V: 0.809 0.809 0.118
Ge: 0.410 0.410 0.353
Ge: 0.590 0.590 0.647